The following is a simulated X-ray powder pattern of Cs6Ti2O7. It was derived from a structure optimized by DFT (GGA-PBE), using Cu Kα X-rays.
Lines closer than 0.1° are merged.

Main lines, by angle (10° ≤ 2θ ≤ 90°):
Position (°2θ)	I_rel
24.80	42
25.98	59
27.19	43
27.93	100
28.59	54
30.61	70
34.00	40
46.67	24

Atomic structure:
Unit cell a=7.2957 b=10.0915 c=12.3739 alpha=90.00 beta=124.35 gamma=90.00
Fractional coordinates of all 30 atoms:
Cs (0.0405, 0.1490, 0.4200)
Cs (0.0405, 0.3510, 0.9200)
Cs (0.2040, 0.5276, 0.4512)
Cs (0.2040, 0.9724, 0.9512)
Cs (0.4009, 0.2137, 0.2778)
Cs (0.4009, 0.2863, 0.7778)
Cs (0.5991, 0.7137, 0.2222)
Cs (0.5991, 0.7863, 0.7222)
Cs (0.7960, 0.0276, 0.0488)
Cs (0.7960, 0.4724, 0.5488)
Cs (0.9595, 0.6490, 0.0800)
Cs (0.9595, 0.8510, 0.5800)
Ti (0.3233, 0.6350, 0.8736)
Ti (0.3233, 0.8650, 0.3736)
Ti (0.6767, 0.1350, 0.6264)
Ti (0.6767, 0.3650, 0.1264)
O (0.0713, 0.6632, 0.8687)
O (0.0713, 0.8368, 0.3687)
O (0.2557, 0.5870, 0.7130)
O (0.2557, 0.9130, 0.2130)
O (0.4930, 0.7154, 0.4267)
O (0.4930, 0.7846, 0.9267)
O (0.5000, 0.0000, 0.5000)
O (0.5000, 0.5000, 0.0000)
O (0.5070, 0.2154, 0.0733)
O (0.5070, 0.2846, 0.5733)
O (0.7443, 0.0870, 0.7870)
O (0.7443, 0.4130, 0.2870)
O (0.9287, 0.1632, 0.6313)
O (0.9287, 0.3368, 0.1313)

=====

The following is a simulated X-ray powder pattern of Cs5Ti2O6. It was derived from a structure optimized by DFT (GGA-PBE), using Cu Kα X-rays.
Lines closer than 0.1° are merged.

Main lines, by angle (10° ≤ 2θ ≤ 90°):
Position (°2θ)	I_rel
22.89	34
25.74	18
26.12	100
26.95	26
27.69	42
29.12	61
29.96	28
42.71	26

Atomic structure:
Unit cell a=6.9291 b=6.9291 c=15.7734 alpha=98.25 beta=98.25 gamma=66.55
Fractional coordinates of all 26 atoms:
Cs (0.0856, 0.9144, 0.7500)
Cs (0.1734, 0.6984, 0.0068)
Cs (0.3012, 0.3943, 0.2901)
Cs (0.3016, 0.8266, 0.4932)
Cs (0.3943, 0.3012, 0.7901)
Cs (0.6057, 0.6988, 0.2099)
Cs (0.6984, 0.1734, 0.5068)
Cs (0.6988, 0.6057, 0.7099)
Cs (0.8266, 0.3016, 0.9932)
Cs (0.9144, 0.0856, 0.2500)
Ti (0.1255, 0.4237, 0.5744)
Ti (0.4237, 0.1255, 0.0744)
Ti (0.5763, 0.8745, 0.9256)
Ti (0.8745, 0.5763, 0.4256)
O (0.0841, 0.2418, 0.6353)
O (0.1376, 0.3346, 0.4516)
O (0.2418, 0.0841, 0.1353)
O (0.3346, 0.1376, 0.9516)
O (0.3359, 0.5074, 0.6239)
O (0.4926, 0.6641, 0.8761)
O (0.5074, 0.3359, 0.1239)
O (0.6641, 0.4926, 0.3761)
O (0.6654, 0.8624, 0.0484)
O (0.7582, 0.9159, 0.8647)
O (0.8624, 0.6654, 0.5484)
O (0.9159, 0.7582, 0.3647)

=====

The following is a simulated X-ray powder pattern of CsTi8O16. It was derived from a structure optimized by DFT (GGA-PBE), using Cu Kα X-rays.
Lines closer than 0.1° are merged.

Main lines, by angle (10° ≤ 2θ ≤ 90°):
Position (°2θ)	I_rel
16.05	24
20.13	30
27.19	100
35.81	44
39.93	39
47.28	27
56.92	33
65.59	25

Atomic structure:
Unit cell a=10.7915 b=10.7915 c=10.7915 alpha=94.38 beta=94.38 gamma=147.93
Fractional coordinates of all 50 atoms:
Cs (0.3750, 0.1250, 0.2500)
Cs (0.6250, 0.8750, 0.7500)
Ti (0.0346, 0.1365, 0.4223)
Ti (0.1122, 0.5346, 0.3980)
Ti (0.1286, 0.2169, 0.0984)
Ti (0.2142, 0.6122, 0.0777)
Ti (0.2831, 0.8815, 0.9116)
Ti (0.3635, 0.2858, 0.8980)
Ti (0.3815, 0.9699, 0.5984)
Ti (0.4699, 0.3714, 0.5884)
Ti (0.5301, 0.6286, 0.4116)
Ti (0.6185, 0.0301, 0.4016)
Ti (0.6365, 0.7142, 0.1020)
Ti (0.7169, 0.1185, 0.0884)
Ti (0.7858, 0.3878, 0.9223)
Ti (0.8714, 0.7831, 0.9016)
Ti (0.8878, 0.4654, 0.6020)
Ti (0.9654, 0.8635, 0.5777)
O (0.0243, 0.4391, 0.2110)
O (0.0578, 0.0986, 0.9076)
O (0.0609, 0.7719, 0.5852)
O (0.0991, 0.6918, 0.0396)
O (0.1523, 0.0595, 0.4604)
O (0.1895, 0.9777, 0.9164)
O (0.1918, 0.6523, 0.5928)
O (0.2269, 0.3105, 0.2882)
O (0.2719, 0.1867, 0.7110)
O (0.3090, 0.8497, 0.4076)
O (0.3133, 0.5243, 0.0852)
O (0.3497, 0.4422, 0.5407)
O (0.4014, 0.8090, 0.9593)
O (0.4388, 0.7269, 0.4164)
O (0.4405, 0.4009, 0.0928)
O (0.4777, 0.0612, 0.7882)
O (0.5223, 0.9388, 0.2118)
O (0.5595, 0.5991, 0.9072)
O (0.5612, 0.2731, 0.5836)
O (0.5986, 0.1910, 0.0407)
O (0.6503, 0.5578, 0.4593)
O (0.6867, 0.4757, 0.9148)
O (0.6910, 0.1503, 0.5924)
O (0.7281, 0.8133, 0.2890)
O (0.7731, 0.6895, 0.7118)
O (0.8082, 0.3477, 0.4072)
O (0.8105, 0.0223, 0.0836)
O (0.8477, 0.9405, 0.5396)
O (0.9009, 0.3082, 0.9604)
O (0.9391, 0.2281, 0.4148)
O (0.9422, 0.9014, 0.0924)
O (0.9757, 0.5609, 0.7890)

=====

The following is a simulated X-ray powder pattern of CsTi6O12. It was derived from a structure optimized by DFT (GGA-PBE), using Cu Kα X-rays.
Lines closer than 0.1° are merged.

Main lines, by angle (10° ≤ 2θ ≤ 90°):
Position (°2θ)	I_rel
23.27	23
24.21	22
27.11	100
35.75	34
39.86	29
47.18	21
52.82	20
56.79	26

Atomic structure:
Unit cell a=8.6086 b=8.6086 c=8.6086 alpha=105.68 beta=105.68 gamma=117.35
Fractional coordinates of all 38 atoms:
Cs (0.2107, 0.2107, 0.0000)
Cs (0.7893, 0.7893, 0.0000)
Ti (0.0152, 0.5019, 0.1863)
Ti (0.1687, 0.3466, 0.5153)
Ti (0.1710, 0.9848, 0.4866)
Ti (0.3156, 0.8290, 0.8137)
Ti (0.3466, 0.8313, 0.1779)
Ti (0.4981, 0.6844, 0.5134)
Ti (0.5019, 0.3156, 0.4866)
Ti (0.6534, 0.1687, 0.8221)
Ti (0.6844, 0.1710, 0.1863)
Ti (0.8290, 0.0152, 0.5134)
Ti (0.8313, 0.6534, 0.4847)
Ti (0.9848, 0.4981, 0.8137)
O (0.1240, 0.1756, 0.6304)
O (0.1303, 0.8357, 0.6301)
O (0.1558, 0.7915, 0.9473)
O (0.1643, 0.7944, 0.2946)
O (0.1646, 0.5377, 0.7023)
O (0.1756, 0.5453, 0.0516)
O (0.2056, 0.5001, 0.3699)
O (0.2085, 0.1558, 0.3644)
O (0.4547, 0.5064, 0.6304)
O (0.4623, 0.1646, 0.6269)
O (0.4936, 0.1240, 0.9484)
O (0.5001, 0.1303, 0.2946)
O (0.4999, 0.8697, 0.7054)
O (0.5064, 0.8760, 0.0516)
O (0.5377, 0.8354, 0.3731)
O (0.5453, 0.4936, 0.3696)
O (0.7915, 0.8442, 0.6356)
O (0.7944, 0.4999, 0.6301)
O (0.8244, 0.4547, 0.9484)
O (0.8354, 0.4623, 0.2977)
O (0.8357, 0.2056, 0.7054)
O (0.8442, 0.2085, 0.0527)
O (0.8697, 0.1643, 0.3699)
O (0.8760, 0.8244, 0.3696)